This entry pairs a crystal structure of BaCdSbF with its calculated PXRD pattern. Radiation: Cu Ka. Structure: a structure optimized by DFT (GGA-PBE).
Lines closer than 0.1° are merged.

Principal peaks in the range 10° ≤ 2θ ≤ 80°, in order of rising 2θ:
d = 3.390 Å, 26.29 deg, I 100, (1 0 2)
d = 3.127 Å, 28.54 deg, I 30, (1 1 1)
d = 2.742 Å, 32.66 deg, I 76, (1 1 2)
d = 2.331 Å, 38.62 deg, I 65, (2 0 0)
d = 2.181 Å, 41.39 deg, I 20, (1 0 4)
d = 1.976 Å, 45.94 deg, I 37, (1 1 4)
d = 1.921 Å, 47.32 deg, I 40, (2 1 2)
d = 1.266 Å, 75.05 deg, I 20, (3 1 4)

Atomic structure:
```
data_BaCdSbF
_symmetry_space_group_name_H-M 'P 4/n m m'
_symmetry_Int_Tables_number 129
_cell_length_a 4.6627
_cell_length_b 4.6627
_cell_length_c 9.8728
_cell_angle_alpha 90.00
_cell_angle_beta 90.00
_cell_angle_gamma 90.00
loop_
_symmetry_equiv_pos_as_xyz
'x,y,z'
'-x,-y,-z'
'-y+1/2,x,z'
'y+1/2,-x,-z'
'-x+1/2,-y+1/2,z'
'x+1/2,y+1/2,-z'
'y,-x+1/2,z'
'-y,x+1/2,-z'
'x+1/2,-y,-z'
'-x+1/2,y,z'
'-y,-x,-z'
'y,x,z'
'-x,y+1/2,-z'
'x,-y+1/2,z'
'y+1/2,x+1/2,-z'
'-y+1/2,-x+1/2,z'
loop_
_atom_site_label
_atom_site_type_symbol
_atom_site_fract_x
_atom_site_fract_y
_atom_site_fract_z
Ba1 Ba 0.2500 0.2500 0.1422
Cd1 Cd 0.2500 0.7500 0.5000
Sb1 Sb 0.2500 0.2500 0.6871
F1 F 0.2500 0.7500 0.0000
```

***

This entry pairs a crystal structure of BaCd3Ga with its calculated PXRD pattern. Radiation: Cu Ka. Structure: a structure optimized by DFT (GGA-PBE).
Lines closer than 0.1° are merged.

Principal peaks in the range 10° ≤ 2θ ≤ 80°, in order of rising 2θ:
d = 3.033 Å, 29.45 deg, I 43, (1 0 3)
d = 2.978 Å, 30.01 deg, I 100, (1 1 2)
d = 2.456 Å, 36.59 deg, I 60, (2 0 0)
d = 2.222 Å, 40.60 deg, I 23, (1 1 4)
d = 2.093 Å, 43.23 deg, I 21, (1 0 5)
d = 1.909 Å, 47.64 deg, I 22, (2 1 3)
d = 1.737 Å, 52.70 deg, I 20, (2 2 0)
d = 1.500 Å, 61.84 deg, I 24, (3 1 2)

Atomic structure:
```
data_BaCd3Ga
_symmetry_space_group_name_H-M 'I 4 m m'
_symmetry_Int_Tables_number 107
_symmetry_space_group_name_Hall 'I 4 -2'
_cell_length_a 4.9123
_cell_length_b 4.9123
_cell_length_c 11.5657
_cell_angle_alpha 90.00
_cell_angle_beta 90.00
_cell_angle_gamma 90.00
loop_
_atom_site_label
_atom_site_type_symbol
_atom_site_fract_x
_atom_site_fract_y
_atom_site_fract_z
Ba1 Ba 0.0000 0.0000 0.0000
Cd1 Cd 0.0000 0.0000 0.3833
Cd2 Cd 0.0000 0.5000 0.2383
Ga1 Ga 0.0000 0.0000 0.6179
```

***

This entry pairs a crystal structure of BaCdGe with its calculated PXRD pattern. Radiation: Cu Ka. Structure: a structure optimized by DFT (GGA-PBE).
Lines closer than 0.1° are merged.

Principal peaks in the range 10° ≤ 2θ ≤ 80°, in order of rising 2θ:
d = 3.135 Å, 28.47 deg, I 100, (1 0 2)
d = 2.407 Å, 37.36 deg, I 16, (0 0 4)
d = 2.385 Å, 37.72 deg, I 47, (1 1 0)
d = 1.898 Å, 47.93 deg, I 23, (2 0 2)
d = 1.694 Å, 54.14 deg, I 32, (1 1 4)
d = 1.496 Å, 62.04 deg, I 11, (1 0 6)
d = 1.485 Å, 62.55 deg, I 21, (2 1 2)
d = 1.377 Å, 68.10 deg, I 8, (3 0 0)

Atomic structure:
```
data_BaCdGe
_symmetry_space_group_name_H-M 'P 63/m m c'
_symmetry_Int_Tables_number 194
_symmetry_space_group_name_Hall '-P 6c 2c'
_cell_length_a 4.7695
_cell_length_b 4.7695
_cell_length_c 9.6289
_cell_angle_alpha 90.00
_cell_angle_beta 90.00
_cell_angle_gamma 120.00
loop_
_atom_site_label
_atom_site_type_symbol
_atom_site_fract_x
_atom_site_fract_y
_atom_site_fract_z
Ba1 Ba 0.0000 0.0000 0.0000
Cd1 Cd 0.3333 0.6667 0.2500
Ge1 Ge 0.3333 0.6667 0.7500
```

***

This entry pairs a crystal structure of BaCd2Ge2 with its calculated PXRD pattern. Radiation: Cu Ka. Structure: a structure optimized by DFT (GGA-PBE).
Lines closer than 0.1° are merged.

Principal peaks in the range 10° ≤ 2θ ≤ 80°, in order of rising 2θ:
d = 2.999 Å, 29.79 deg, I 32, (1 0 3)
d = 2.914 Å, 30.68 deg, I 100, (1 1 2)
d = 2.385 Å, 37.72 deg, I 50, (2 0 0)
d = 2.196 Å, 41.11 deg, I 17, (1 1 4)
d = 2.082 Å, 43.47 deg, I 19, (1 0 5)
d = 1.867 Å, 48.79 deg, I 16, (2 1 3)
d = 1.686 Å, 54.40 deg, I 17, (2 2 0)
d = 1.460 Å, 63.77 deg, I 23, (3 1 2)

Atomic structure:
```
data_BaCd2Ge2
_symmetry_space_group_name_H-M 'I 4/m m m'
_symmetry_Int_Tables_number 139
_symmetry_space_group_name_Hall '-I 4 2'
_cell_length_a 4.7699
_cell_length_b 4.7699
_cell_length_c 11.5691
_cell_angle_alpha 90.00
_cell_angle_beta 90.00
_cell_angle_gamma 90.00
loop_
_atom_site_label
_atom_site_type_symbol
_atom_site_fract_x
_atom_site_fract_y
_atom_site_fract_z
Ba1 Ba 0.0000 0.0000 0.0000
Cd1 Cd 0.0000 0.5000 0.2500
Ge1 Ge 0.0000 0.0000 0.3878
```